# CaPm3Pd4
Simulated X-ray diffraction stick pattern, Cu Kα, 1.54184 Å. Input: DFT lattice parameters and positions (PBE).
Intensities are scaled so that the largest is 100.

Structure:
```
CaPm3Pd4
1.0
-3.578 3.578 3.578
3.578 -3.578 3.578
3.578 3.578 -3.578
Ca Pm Pd
1 3 4
Cartesian
0.000 0.000 0.000
3.578 0.000 0.000
0.000 3.578 0.000
0.000 0.000 3.578
1.789 1.789 -1.789
1.789 -1.789 1.789
-1.789 1.789 1.789
1.789 1.789 1.789
```

Principal peaks in the range 10 to 80 degrees two-theta, in order of rising 2θ:
2θ (°)  intensity
17.52  7.2
30.60  3.8
35.48  100.0
39.83  1.9
47.54  2.4
51.05  17.5
54.39  1.2
63.70  35.6
66.63  1.3
75.08  10.9


# CaPm5Pd2
Simulated X-ray diffraction stick pattern, Cu Kα, 1.54184 Å. Input: DFT lattice parameters and positions (PBE).
Intensities are scaled so that the largest is 100.

Structure:
```
CaPm5Pd2
1.0
-2.314 3.978 6.902
2.314 -3.978 6.902
2.314 3.978 -6.902
Ca Pm Pd
1 5 2
Cartesian
0.000 0.000 0.000
2.314 2.123 -2.037
2.314 2.123 2.037
0.000 3.978 0.000
0.000 1.855 4.865
0.000 1.855 8.939
2.314 0.000 4.018
0.000 3.978 2.884
```

Principal peaks in the range 10 to 80 degrees two-theta, in order of rising 2θ:
2θ (°)  intensity
12.84  56.0
22.24  24.8
27.33  64.8
30.33  100.0
34.39  88.0
35.58  46.9
38.92  36.1
39.15  33.6
45.60  20.6
52.91  42.8